Record 1
# Nd2Zn5Ag3
Simulated X-ray diffraction stick pattern, copper Kα. Input: a crystal structure in Alexandria, relaxed with PBE.
No peak broadening, texture or thermal motion is included.

Structural model:
Lattice parameters (Å, degrees): 8.7791 8.7791 8.7791 99.18 94.42 139.76
Fractional positions:
Nd: 0.1237 0.2467 0.3704
Nd: 0.3763 0.7467 0.1230
Nd: 0.6237 0.2533 0.8770
Nd: 0.8763 0.7533 0.6296
Zn: 0.0106 0.7500 0.2606
Zn: 0.1277 0.6396 0.7673
Zn: 0.2500 0.2500 0.0000
Zn: 0.3723 0.1396 0.5119
Zn: 0.4894 0.7500 0.7394
Zn: 0.5106 0.2500 0.2606
Zn: 0.6277 0.8604 0.4881
Zn: 0.7500 0.7500 0.0000
Zn: 0.8723 0.3604 0.2327
Zn: 0.9894 0.2500 0.7394
Ag: 0.1293 0.8657 0.9949
Ag: 0.2500 0.7500 0.5000
Ag: 0.3707 0.3657 0.7364
Ag: 0.6293 0.6343 0.2636
Ag: 0.7500 0.2500 0.5000
Ag: 0.8707 0.1343 0.0051

Peak list (10 most intense, 10 to 90 degrees two-theta, by angle)
two_theta  Rel. int.
31.63  100.0
33.59  77.4
33.94  74.1
42.61  84.8
45.20  57.6
53.79  21.0
54.26  20.3
63.64  20.1
64.07  19.5
81.45  21.3

Record 2
# Pu2CrCo3H12
Simulated X-ray diffraction stick pattern, copper Kα. Input: a crystal structure in Alexandria, relaxed with PBE.
No peak broadening, texture or thermal motion is included.

Structural model:
Lattice parameters (Å, degrees): 5.7600 5.7600 5.7600 59.80 59.80 59.80
Fractional positions:
Pu: 0.1179 0.1179 0.1179
Pu: 0.8821 0.8821 0.8821
Cr: 0.5000 0.5000 0.5000
Co: 0.0000 0.5000 0.5000
Co: 0.5000 0.0000 0.5000
Co: 0.5000 0.5000 0.0000
H: 0.1288 0.6075 0.6075
H: 0.1713 0.1713 0.6354
H: 0.1713 0.6354 0.1713
H: 0.3646 0.8287 0.8287
H: 0.3925 0.3925 0.8712
H: 0.3925 0.8712 0.3925
H: 0.6075 0.1288 0.6075
H: 0.6075 0.6075 0.1288
H: 0.6354 0.1713 0.1713
H: 0.8287 0.3646 0.8287
H: 0.8287 0.8287 0.3646
H: 0.8712 0.3925 0.3925

Peak list (10 most intense, 10 to 90 degrees two-theta, by angle)
two_theta  Rel. int.
18.91  43.5
31.10  100.0
36.62  90.1
36.70  35.5
55.39  31.2
59.00  24.7
59.08  12.3
64.74  13.4
64.96  14.7
76.94  13.5